Calculated powder XRD pattern
Compound: Rb2AcUS6
Radiation: CuKα
Structure: a crystal structure in Alexandria, relaxed with GGA-PBE

Structure:
```
data_Rb2AcUS6
_symmetry_space_group_name_H-M 'P 1 21/c 1'
_symmetry_Int_Tables_number 14
_cell_length_a 7.715
_cell_length_b 7.715
_cell_length_c 13.359
_cell_angle_alpha 90.00
_cell_angle_beta 125.17
_cell_angle_gamma 90.00
loop_
_symmetry_equiv_pos_as_xyz
'x,y,z'
'-x,-y,-z'
'-x,y+1/2,-z+1/2'
'x,-y+1/2,z+1/2'
loop_
_atom_site_label
_atom_site_type_symbol
_atom_site_fract_x
_atom_site_fract_y
_atom_site_fract_z
_atom_site_occupancy
Rb1 Rb 0.249 0.003 0.250 1
Ac1 Ac 0.500 0.000 0.000 1
U1 U 0.000 0.000 0.500 1
S1 S 0.212 0.246 0.492 1
S2 S 0.238 0.720 0.993 1
S3 S 0.247 0.001 0.733 1
```

Most intense lines, 2θ from 5° to 70°, low angle first:
Position (°2θ), I_rel, h k l
16.24, 43, 0 0 2
23.05, 100, 0 2 0
32.83, 44, 0 0 4
36.83, 22, 1 1 3
40.49, 47, 2 0 2
47.11, 31, 2 2 2
50.15, 12, 0 0 6
53.07, 23, 2 4 -2
63.80, 18, 4 2 0
63.87, 9, 3 1 -9

***

Calculated powder XRD pattern
Compound: Er8AlAg2
Radiation: CuKα
Structure: a crystal structure in Alexandria, relaxed with GGA-PBE

Structure:
```
data_Er8AlAg2
_symmetry_space_group_name_H-M 'C 1 2/m 1'
_symmetry_Int_Tables_number 12
_cell_length_a 8.567
_cell_length_b 14.244
_cell_length_c 5.315
_cell_angle_alpha 90.00
_cell_angle_beta 110.07
_cell_angle_gamma 90.00
loop_
_symmetry_equiv_pos_as_xyz
'x,y,z'
'-x,-y,-z'
'-x,y,-z'
'x,-y,z'
'x+1/2,y+1/2,z'
'-x+1/2,-y+1/2,-z'
'-x+1/2,y+1/2,-z'
'x+1/2,-y+1/2,z'
loop_
_atom_site_label
_atom_site_type_symbol
_atom_site_fract_x
_atom_site_fract_y
_atom_site_fract_z
_atom_site_occupancy
Er1 Er 0.000 0.221 0.000 1
Er2 Er 0.111 0.500 0.806 1
Er3 Er 0.209 0.115 0.604 1
Al1 Al 0.000 0.000 0.000 1
Ag1 Ag 0.000 0.304 0.500 1
```

Most intense lines, 2θ from 5° to 70°, low angle first:
Position (°2θ), I_rel, h k l
25.43, 44, 2 2 0
30.58, 73, 1 3 1
30.84, 88, 0 4 1
32.63, 100, 3 1 -1
33.04, 63, 2 0 1
33.61, 86, 2 4 0
34.35, 73, 1 1 -2
36.12, 94, 1 5 -1
37.48, 35, 2 2 -2
38.21, 32, 0 2 2

***

Calculated powder XRD pattern
Compound: SbAsAu
Radiation: CuKα
Structure: a crystal structure in Alexandria, relaxed with GGA-PBE

Structure:
```
data_SbAsAu
_symmetry_space_group_name_H-M 'P 21 3'
_symmetry_Int_Tables_number 198
_symmetry_space_group_name_Hall 'P 2ac 2ab 3'
_cell_length_a 6.553
_cell_length_b 6.553
_cell_length_c 6.553
_cell_angle_alpha 90.00
_cell_angle_beta 90.00
_cell_angle_gamma 90.00
loop_
_atom_site_label
_atom_site_type_symbol
_atom_site_fract_x
_atom_site_fract_y
_atom_site_fract_z
_atom_site_occupancy
Sb1 Sb 0.119 0.381 0.619 1
As1 As 0.118 0.118 0.118 1
Au1 Au 0.011 0.989 0.489 1
```

Most intense lines, 2θ from 5° to 70°, low angle first:
Position (°2θ), I_rel, h k l
23.52, 39, 1 1 1
27.22, 67, 2 0 0
30.51, 48, 2 1 0
33.50, 37, 2 1 1
38.87, 46, 2 2 0
45.93, 100, 3 1 1
48.10, 17, 2 2 2
50.20, 12, 3 0 2
52.23, 23, 3 2 1
63.49, 17, 4 2 0

***

Calculated powder XRD pattern
Compound: PaCo2PH2
Radiation: CuKα
Structure: a crystal structure in Alexandria, relaxed with GGA-PBE

Structure:
```
data_PaCo2PH2
_symmetry_space_group_name_H-M 'P 1 21/m 1'
_symmetry_Int_Tables_number 11
_cell_length_a 5.327
_cell_length_b 4.940
_cell_length_c 5.538
_cell_angle_alpha 90.00
_cell_angle_beta 107.57
_cell_angle_gamma 90.00
loop_
_symmetry_equiv_pos_as_xyz
'x,y,z'
'-x,-y,-z'
'-x,y+1/2,-z'
'x,-y+1/2,z'
loop_
_atom_site_label
_atom_site_type_symbol
_atom_site_fract_x
_atom_site_fract_y
_atom_site_fract_z
_atom_site_occupancy
Pa1 Pa 0.190 0.250 0.304 1
Co1 Co 0.332 0.000 0.771 1
P1 P 0.305 0.750 0.100 1
H1 H 0.114 0.250 0.713 1
H2 H 0.281 0.750 0.563 1
```

Most intense lines, 2θ from 5° to 70°, low angle first:
Position (°2θ), I_rel, h k l
24.68, 100, 0 1 1
25.15, 82, 1 1 0
27.21, 66, 1 1 -1
33.96, 50, 0 0 2
34.26, 42, 2 0 -1
35.35, 35, 2 0 0
38.67, 25, 0 1 2
41.99, 58, 1 2 -1
45.30, 32, 2 1 -2
46.39, 61, 1 2 1

***

Calculated powder XRD pattern
Compound: Eu2ZnGe3
Radiation: CuKα
Structure: a crystal structure in Alexandria, relaxed with GGA-PBE

Structure:
```
data_Eu2ZnGe3
_symmetry_space_group_name_H-M 'C m c e'
_symmetry_Int_Tables_number 64
_symmetry_space_group_name_Hall '-C 2ac 2'
_cell_length_a 8.511
_cell_length_b 14.731
_cell_length_c 8.942
_cell_angle_alpha 90.00
_cell_angle_beta 90.00
_cell_angle_gamma 90.00
loop_
_atom_site_label
_atom_site_type_symbol
_atom_site_fract_x
_atom_site_fract_y
_atom_site_fract_z
_atom_site_occupancy
Eu1 Eu 0.000 0.001 0.241 1
Eu2 Eu 0.250 0.248 0.250 1
Zn1 Zn 0.000 0.167 0.528 1
Ge1 Ge 0.000 0.169 0.974 1
Ge2 Ge 0.245 0.085 0.481 1
```

Most intense lines, 2θ from 5° to 70°, low angle first:
Position (°2θ), I_rel, h k l
24.16, 12, 2 2 0
31.46, 100, 0 4 2
38.86, 3, 0 4 3
40.35, 13, 0 0 4
42.50, 40, 4 0 0
47.58, 5, 2 2 4
53.83, 22, 4 4 2
57.26, 3, 2 2 5
60.04, 23, 4 0 4
67.84, 8, 0 4 6

***

Calculated powder XRD pattern
Compound: Sm4Dy3Er8
Radiation: CuKα
Structure: a crystal structure in Alexandria, relaxed with GGA-PBE

Structure:
```
data_Sm4Dy3Er8
_symmetry_space_group_name_H-M 'R -3 m'
_symmetry_Int_Tables_number 166
_symmetry_space_group_name_Hall '-R 3 2"'
_cell_length_a 6.9128
_cell_length_b 6.9128
_cell_length_c 35.1631
_cell_angle_alpha 90.00
_cell_angle_beta 90.00
_cell_angle_gamma 120.00
loop_
_atom_site_label
_atom_site_type_symbol
_atom_site_fract_x
_atom_site_fract_y
_atom_site_fract_z
_atom_site_occupancy
Sm1 Sm 0.0000 0.0000 0.0000 1
Sm2 Sm 0.0000 0.0000 0.1636 1
Sm3 Sm 0.0000 0.0000 0.5000 1
Dy1 Dy 0.0000 0.5000 0.0000 1
Er1 Er 0.0000 0.0000 0.2552 1
Er2 Er 0.0017 0.5008 0.2508 1
```

Most intense lines, 2θ from 5° to 70°, low angle first:
Position (°2θ), I_rel, h k l
26.89, 15, 1 1 3
29.99, 24, 0 2 1
30.51, 55, 0 0 12
31.57, 100, 0 2 4
36.31, 73, 2 0 8
51.59, 23, 0 2 16
52.99, 36, 2 2 0
61.13, 16, 2 0 20
62.38, 43, 2 2 12
63.00, 14, 4 0 4